Y8InOs2: simulated powder X-ray diffraction pattern (copper Kα), based on a structure optimized by DFT (PBE).
No peak broadening, texture or thermal motion is included.

Structure:
```
data_Y8InOs2
_cell_length_a 17.5213
_cell_length_b 5.2591
_cell_length_c 6.9698
_cell_angle_alpha 90.00
_cell_angle_beta 113.41
_cell_angle_gamma 90.00
_symmetry_space_group_name_H-M 'C 1 m 1'
_symmetry_Int_Tables_number 8
loop_
_symmetry_equiv_pos_as_xyz
'x,y,z'
'x,-y,z'
'x+1/2,y+1/2,z'
'x+1/2,-y+1/2,z'
loop_
_atom_site_label
_atom_site_fract_x
_atom_site_fract_y
_atom_site_fract_z
_atom_site_occupancy
Y1 0.0000 0.0000 0.0000 1
Y2 0.0006 0.5000 0.2724 1
Y3 0.1098 0.5000 0.8393 1
Y4 0.1702 0.0000 0.5326 1
Y5 0.2109 0.0000 0.1146 1
Y6 0.2895 0.5000 0.6939 1
Y7 0.3306 0.5000 0.1937 1
Y8 0.3905 0.0000 0.6194 1
In1 0.0004 0.0000 0.5674 1
Os1 0.1712 0.5000 0.2690 1
Os2 0.3298 0.0000 0.9276 1
```

Largest 10 diffraction maxima, in order of falling intensity, 2θ = 5–70°:
2theta	d/Å	I (rel.)
35.1	2.554	100
34.1	2.630	65
30.8	2.903	35
31.3	2.859	32
20.9	4.249	31
39.9	2.259	30
42.5	2.125	24
33.4	2.680	22
61.7	1.503	21
21.2	4.198	21